[1]
Diffraction record for K2InB2O6. The powder XRD pattern is calculated, not measured: it uses the PBE geometry in Alexandria and λ = 1.5418 Å (Cu Kα).

abc: 5.399 5.399 6.568
angles: 90.00 90.00 120.00
Element x y z (fractional)
K  0.333  0.667  0.334
K  0.667  0.333  0.666
In  0.000  0.000  0.000
B  0.333  0.667  0.813
B  0.667  0.333  0.187
O  0.186  0.372  0.801
O  0.186  0.814  0.801
O  0.372  0.186  0.199
O  0.628  0.814  0.801
O  0.814  0.186  0.199
O  0.814  0.628  0.199

Top 10 peaks for 5° ≤ 2θ ≤ 70°, sorted by position:
2θ (°)	d/Å	I (rel.)
13.48	6.568	44
18.98	4.675	20
23.35	3.809	100
33.19	2.699	38
33.34	2.687	62
40.98	2.202	35
47.76	1.904	24
53.72	1.706	24
53.92	1.700	21
59.36	1.557	20

---

[2]
Diffraction record for LaInB12. The powder XRD pattern is calculated, not measured: it uses the PBE geometry in Alexandria and λ = 1.5418 Å (Cu Kα).

abc: 5.946 5.946 5.946
angles: 60.00 60.00 60.00
Element x y z (fractional)
La  0.000  0.000  0.000
In  0.500  0.500  0.500
B  0.101  0.101  0.399
B  0.101  0.399  0.101
B  0.101  0.399  0.399
B  0.399  0.101  0.101
B  0.399  0.101  0.399
B  0.399  0.399  0.101
B  0.601  0.601  0.899
B  0.601  0.899  0.601
B  0.601  0.899  0.899
B  0.899  0.601  0.601
B  0.899  0.601  0.899
B  0.899  0.899  0.601

Top 10 peaks for 5° ≤ 2θ ≤ 70°, sorted by position:
2θ (°)	d/Å	I (rel.)
18.27	4.855	1
21.13	4.205	58
30.06	2.973	100
35.40	2.536	1
37.03	2.428	42
43.02	2.102	22
48.41	1.880	48
53.37	1.717	25
62.48	1.487	9
66.74	1.402	28

---

[3]
Diffraction record for Li2In2BPd4. The powder XRD pattern is calculated, not measured: it uses the PBE geometry in Alexandria and λ = 1.5418 Å (Cu Kα).

abc: 5.758 5.758 5.758
angles: 118.60 118.60 92.44
Element x y z (fractional)
Li  0.219  0.219  0.000
Li  0.781  0.781  0.000
In  0.250  0.750  0.500
In  0.750  0.250  0.500
B  0.500  0.500  0.000
Pd  0.252  0.252  0.504
Pd  0.252  0.748  0.000
Pd  0.748  0.252  0.000
Pd  0.748  0.748  0.496

Top 10 peaks for 5° ≤ 2θ ≤ 70°, sorted by position:
2θ (°)	d/Å	I (rel.)
21.37	4.158	23
22.31	3.984	9
30.40	2.940	7
31.09	2.877	21
38.04	2.366	100
43.54	2.079	36
45.54	1.992	15
54.46	1.685	8
63.26	1.470	11
64.82	1.438	21

---

[4]
Diffraction record for Zr2InBMo. The powder XRD pattern is calculated, not measured: it uses the PBE geometry in Alexandria and λ = 1.5418 Å (Cu Kα).

abc: 4.706 4.706 4.202
angles: 90.00 90.00 90.00
Element x y z (fractional)
Zr  0.000  0.500  0.000
Zr  0.500  0.000  0.000
In  0.000  0.000  0.500
B  0.500  0.500  0.000
Mo  0.500  0.500  0.500

Top 8 peaks for 5° ≤ 2θ ≤ 70°, sorted by position:
2θ (°)	d/Å	I (rel.)
26.79	3.328	1
28.47	3.135	1
34.37	2.609	100
38.25	2.353	40
43.05	2.101	14
55.20	1.664	13
58.93	1.567	22
66.67	1.403	28

---

[5]
Diffraction record for Nb5In2B2. The powder XRD pattern is calculated, not measured: it uses the PBE geometry in Alexandria and λ = 1.5418 Å (Cu Kα).

abc: 8.217 8.217 6.220
angles: 90.00 90.00 45.24
Element x y z (fractional)
Nb  0.000  0.000  0.000
Nb  0.079  0.718  0.688
Nb  0.218  0.579  0.188
Nb  0.282  0.921  0.688
Nb  0.421  0.782  0.188
Nb  0.500  0.500  0.500
Nb  0.579  0.218  0.812
Nb  0.718  0.079  0.312
Nb  0.782  0.421  0.812
Nb  0.921  0.282  0.312
In  0.236  0.236  0.000
In  0.264  0.264  0.500
In  0.736  0.736  0.500
In  0.764  0.764  0.000
B  0.105  0.895  0.398
B  0.395  0.605  0.898
B  0.605  0.395  0.102
B  0.895  0.105  0.602

Top 10 peaks for 5° ≤ 2θ ≤ 70°, sorted by position:
2θ (°)	d/Å	I (rel.)
31.08	2.878	24
31.76	2.818	36
32.63	2.745	34
35.50	2.528	29
35.86	2.504	47
37.02	2.428	95
37.39	2.405	100
39.86	2.262	31
40.70	2.217	68
44.09	2.054	27

---

[6]
Diffraction record for NdInB12. The powder XRD pattern is calculated, not measured: it uses the PBE geometry in Alexandria and λ = 1.5418 Å (Cu Kα).

abc: 5.930 5.930 5.930
angles: 60.00 60.00 60.00
Element x y z (fractional)
Nd  0.000  0.000  0.000
In  0.500  0.500  0.500
B  0.101  0.101  0.399
B  0.101  0.399  0.101
B  0.101  0.399  0.399
B  0.399  0.101  0.101
B  0.399  0.101  0.399
B  0.399  0.399  0.101
B  0.601  0.601  0.899
B  0.601  0.899  0.601
B  0.601  0.899  0.899
B  0.899  0.601  0.601
B  0.899  0.601  0.899
B  0.899  0.899  0.601

Top 10 peaks for 5° ≤ 2θ ≤ 70°, sorted by position:
2θ (°)	d/Å	I (rel.)
18.32	4.842	2
21.19	4.193	59
30.14	2.965	100
35.50	2.529	1
37.14	2.421	42
43.15	2.097	21
48.55	1.875	49
53.53	1.712	26
62.66	1.483	9
66.95	1.398	28